Diffraction record for CdC8N6. The XRD peak list is simulated, not measured: it uses a crystal structure in the Materials Project, relaxed with PBE and Cu Kα (weighted mean of Kα1 and Kα2).

Main lines, by angle (10 to 90 degrees two-theta):
d/Å	2theta	Rel. int.
6.411	13.81	69
5.482	16.17	21
4.201	21.15	100
3.952	22.50	17
3.904	22.78	47
3.317	26.88	25
2.777	32.23	34
2.100	43.07	17

Structural model:
```
data_CdC8N6
_cell_length_a 7.903
_cell_length_b 5.561
_cell_length_c 10.965
_cell_angle_alpha 90.00
_cell_angle_beta 90.00
_cell_angle_gamma 90.00
_space_group_name_H-M_alt 'P m n a'
_space_group_IT_number 53
_space_group_name_Hall '-P 2ac 2'
loop_
_atom_site_label
_atom_site_type_symbol
_atom_site_fract_x
_atom_site_fract_y
_atom_site_fract_z
_atom_site_occupancy
Cd1 Cd 0.000 0.000 0.000 1
C1 C 0.000 0.399 0.255 1
C2 C 0.000 0.413 0.660 1
C3 C 0.152 0.312 0.618 1
N1 N 0.000 0.242 0.183 1
N2 N 0.223 0.227 0.918 1
```

***

Diffraction record for TiCu3O4. The XRD peak list is simulated, not measured: it uses a crystal structure in the Materials Project, relaxed with PBE and Cu Kα (weighted mean of Kα1 and Kα2).

Main lines, by angle (10 to 90 degrees two-theta):
d/Å	2theta	Rel. int.
2.888	30.96	100
2.677	33.47	98
2.563	35.01	65
2.511	35.76	63
2.485	36.15	73
2.392	37.60	86
2.350	38.31	83
1.541	60.04	58

Structural model:
```
data_TiCu3O4
_cell_length_a 3.090
_cell_length_b 11.552
_cell_length_c 5.901
_cell_angle_alpha 90.00
_cell_angle_beta 117.03
_cell_angle_gamma 90.00
_space_group_name_H-M_alt 'P 1 21/c 1'
_space_group_IT_number 14
_space_group_name_Hall '-P 2ybc'
loop_
_atom_site_label
_atom_site_type_symbol
_atom_site_fract_x
_atom_site_fract_y
_atom_site_fract_z
_atom_site_occupancy
Ti1 Ti 0.000 0.000 0.000 1
Cu1 Cu 0.000 0.000 0.500 1
Cu2 Cu 0.307 0.249 0.827 1
O1 O 0.245 0.094 0.303 1
O2 O 0.355 0.089 0.842 1
```

***

Copy entry 2 word for word.
Diffraction record for TiCu3O4. The XRD peak list is simulated, not measured: it uses a crystal structure in the Materials Project, relaxed with PBE and Cu Kα (weighted mean of Kα1 and Kα2).

Main lines, by angle (10 to 90 degrees two-theta):
d/Å	2theta	Rel. int.
2.888	30.96	100
2.677	33.47	98
2.563	35.01	65
2.511	35.76	63
2.485	36.15	73
2.392	37.60	86
2.350	38.31	83
1.541	60.04	58

Structural model:
```
data_TiCu3O4
_cell_length_a 3.090
_cell_length_b 11.552
_cell_length_c 5.901
_cell_angle_alpha 90.00
_cell_angle_beta 117.03
_cell_angle_gamma 90.00
_space_group_name_H-M_alt 'P 1 21/c 1'
_space_group_IT_number 14
_space_group_name_Hall '-P 2ybc'
loop_
_atom_site_label
_atom_site_type_symbol
_atom_site_fract_x
_atom_site_fract_y
_atom_site_fract_z
_atom_site_occupancy
Ti1 Ti 0.000 0.000 0.000 1
Cu1 Cu 0.000 0.000 0.500 1
Cu2 Cu 0.307 0.249 0.827 1
O1 O 0.245 0.094 0.303 1
O2 O 0.355 0.089 0.842 1
```